(1)
This entry pairs a crystal structure of ZnTePS with its computed XRD peak list. Radiation: Cu Ka. Structure: a cell relaxed with PBE.
Intensities are scaled so that the largest is 100.

Peak list (10 most intense, 2θ = 5–70°, by angle)
- 4.243 Å, intensity 27
- 3.973 Å, intensity 36
- 3.371 Å, intensity 27
- 2.900 Å, intensity 100
- 2.639 Å, intensity 47
- 2.513 Å, intensity 22
- 2.199 Å, intensity 25
- 1.986 Å, intensity 22
- 1.978 Å, intensity 27
- 1.926 Å, intensity 28

```
data_ZnTePS
_chemical_formula_sum 'Zn1 Te1 P1 S1'
_cell_length_a 4.246
_cell_length_b 3.973
_cell_length_c 5.281
_cell_angle_alpha 90.00
_cell_angle_beta 92.23
_cell_angle_gamma 90.00
_symmetry_space_group_name_H-M 'P 1'
_symmetry_Int_Tables_number 1
loop_
_symmetry_equiv_pos_as_xyz
'x,y,z'
loop_
_atom_site_label
_atom_site_type_symbol
_atom_site_fract_x
_atom_site_fract_y
_atom_site_fract_z
Zn1 Zn 0.000 0.000 0.000
Te1 Te 0.806 0.000 0.506
P1 P 0.316 0.500 0.470
S1 S 0.314 0.500 0.063
```

---

(2)
This entry pairs a crystal structure of TmGe4Pt12 with its computed XRD peak list. Radiation: Cu Ka. Structure: a cell relaxed with PBE.
Intensities are scaled so that the largest is 100.

Peak list (10 most intense, 2θ = 5–70°, by angle)
- 2.706 Å, intensity 100
- 2.287 Å, intensity 40
- 2.017 Å, intensity 4
- 1.914 Å, intensity 12
- 1.825 Å, intensity 6
- 1.747 Å, intensity 16
- 1.678 Å, intensity 30
- 1.468 Å, intensity 12
- 1.426 Å, intensity 13
- 1.388 Å, intensity 3

```
data_TmGe4Pt12
_chemical_formula_sum 'Tm1 Ge4 Pt12'
_cell_length_a 7.412
_cell_length_b 7.412
_cell_length_c 7.412
_cell_angle_alpha 109.47
_cell_angle_beta 109.47
_cell_angle_gamma 109.47
_symmetry_space_group_name_H-M 'P 1'
_symmetry_Int_Tables_number 1
loop_
_symmetry_equiv_pos_as_xyz
'x,y,z'
loop_
_atom_site_label
_atom_site_type_symbol
_atom_site_fract_x
_atom_site_fract_y
_atom_site_fract_z
Tm1 Tm 0.000 0.000 0.000
Ge1 Ge 0.000 0.000 0.500
Ge2 Ge 0.000 0.500 0.000
Ge3 Ge 0.500 0.000 0.000
Ge4 Ge 0.500 0.500 0.500
Pt1 Pt 0.156 0.343 0.499
Pt2 Pt 0.156 0.657 0.813
Pt3 Pt 0.187 0.844 0.343
Pt4 Pt 0.343 0.187 0.844
Pt5 Pt 0.343 0.499 0.156
Pt6 Pt 0.499 0.156 0.343
Pt7 Pt 0.501 0.844 0.657
Pt8 Pt 0.657 0.501 0.844
Pt9 Pt 0.657 0.813 0.156
Pt10 Pt 0.813 0.156 0.657
Pt11 Pt 0.844 0.343 0.187
Pt12 Pt 0.844 0.657 0.501
```

---

(3)
This entry pairs a crystal structure of Dy3Tm2Pu with its computed XRD peak list. Radiation: Cu Ka. Structure: a cell relaxed with PBE.
Intensities are scaled so that the largest is 100.

Peak list (10 most intense, 2θ = 5–70°, by angle)
- 5.638 Å, intensity 50
- 4.029 Å, intensity 66
- 2.909 Å, intensity 35
- 2.834 Å, intensity 27
- 2.819 Å, intensity 71
- 2.760 Å, intensity 29
- 2.724 Å, intensity 40
- 2.643 Å, intensity 100
- 2.397 Å, intensity 41
- 2.054 Å, intensity 34

```
data_Dy3Tm2Pu
_chemical_formula_sum 'Dy6 Tm4 Pu2'
_cell_length_a 8.791
_cell_length_b 8.791
_cell_length_c 8.791
_cell_angle_alpha 100.21
_cell_angle_beta 94.20
_cell_angle_gamma 138.55
_symmetry_space_group_name_H-M 'P 1'
_symmetry_Int_Tables_number 1
loop_
_symmetry_equiv_pos_as_xyz
'x,y,z'
loop_
_atom_site_label
_atom_site_type_symbol
_atom_site_fract_x
_atom_site_fract_y
_atom_site_fract_z
Dy1 Dy 0.017 0.750 0.267
Dy2 Dy 0.250 0.250 0.000
Dy3 Dy 0.483 0.750 0.733
Dy4 Dy 0.517 0.250 0.267
Dy5 Dy 0.750 0.750 0.000
Dy6 Dy 0.983 0.250 0.733
Tm1 Tm 0.100 0.246 0.346
Tm2 Tm 0.400 0.746 0.146
Tm3 Tm 0.600 0.254 0.854
Tm4 Tm 0.900 0.754 0.654
Pu1 Pu 0.000 0.500 0.500
Pu2 Pu 0.500 0.000 0.500
```

---

(4)
This entry pairs a crystal structure of AlV6Sb with its computed XRD peak list. Radiation: Cu Ka. Structure: a cell relaxed with PBE.
Intensities are scaled so that the largest is 100.

Peak list (10 most intense, 2θ = 5–70°, by angle)
- 4.880 Å, intensity 32
- 3.451 Å, intensity 8
- 2.817 Å, intensity 20
- 2.440 Å, intensity 46
- 2.182 Å, intensity 100
- 1.992 Å, intensity 98
- 1.627 Å, intensity 9
- 1.471 Å, intensity 5
- 1.409 Å, intensity 3
- 1.353 Å, intensity 21

```
data_AlV6Sb
_chemical_formula_sum 'Al1 V6 Sb1'
_cell_length_a 4.880
_cell_length_b 4.880
_cell_length_c 4.880
_cell_angle_alpha 90.00
_cell_angle_beta 90.00
_cell_angle_gamma 90.00
_symmetry_space_group_name_H-M 'P 1'
_symmetry_Int_Tables_number 1
loop_
_symmetry_equiv_pos_as_xyz
'x,y,z'
loop_
_atom_site_label
_atom_site_type_symbol
_atom_site_fract_x
_atom_site_fract_y
_atom_site_fract_z
Al1 Al 0.000 0.000 0.000
V1 V 0.000 0.239 0.500
V2 V 0.000 0.761 0.500
V3 V 0.239 0.500 0.000
V4 V 0.500 0.000 0.239
V5 V 0.500 0.000 0.761
V6 V 0.761 0.500 0.000
Sb1 Sb 0.500 0.500 0.500
```

---

(5)
This entry pairs a crystal structure of CsPmNb2O7 with its computed XRD peak list. Radiation: Cu Ka. Structure: a cell relaxed with PBE.
Intensities are scaled so that the largest is 100.

Peak list (10 most intense, 2θ = 5–70°, by angle)
- 11.485 Å, intensity 36
- 3.245 Å, intensity 100
- 2.781 Å, intensity 39
- 2.503 Å, intensity 7
- 2.319 Å, intensity 14
- 1.998 Å, intensity 17
- 1.967 Å, intensity 23
- 1.682 Å, intensity 29
- 1.577 Å, intensity 8
- 1.372 Å, intensity 8

```
data_CsPmNb2O7
_chemical_formula_sum 'Cs1 Pm1 Nb2 O7'
_cell_length_a 3.933
_cell_length_b 3.933
_cell_length_c 11.485
_cell_angle_alpha 90.00
_cell_angle_beta 90.00
_cell_angle_gamma 90.00
_symmetry_space_group_name_H-M 'P 1'
_symmetry_Int_Tables_number 1
loop_
_symmetry_equiv_pos_as_xyz
'x,y,z'
loop_
_atom_site_label
_atom_site_type_symbol
_atom_site_fract_x
_atom_site_fract_y
_atom_site_fract_z
Cs1 Cs 0.000 0.000 0.000
Pm1 Pm 0.000 0.000 0.500
Nb1 Nb 0.500 0.500 0.305
Nb2 Nb 0.500 0.500 0.695
O1 O 0.000 0.500 0.344
O2 O 0.000 0.500 0.656
O3 O 0.500 0.000 0.344
O4 O 0.500 0.000 0.656
O5 O 0.500 0.500 0.147
O6 O 0.500 0.500 0.500
O7 O 0.500 0.500 0.853
```

---

(6)
This entry pairs a crystal structure of Nd2Er9Sc with its computed XRD peak list. Radiation: Cu Ka. Structure: a cell relaxed with PBE.
Intensities are scaled so that the largest is 100.

Peak list (10 most intense, 2θ = 5–70°, by angle)
- 14.900 Å, intensity 1
- 4.975 Å, intensity 2
- 3.518 Å, intensity 2
- 2.872 Å, intensity 100
- 2.488 Å, intensity 50
- 2.225 Å, intensity 1
- 1.759 Å, intensity 35
- 1.501 Å, intensity 28
- 1.498 Å, intensity 13
- 1.436 Å, intensity 12

```
data_Nd2Er9Sc
_chemical_formula_sum 'Nd2 Er9 Sc1'
_cell_length_a 4.979
_cell_length_b 4.979
_cell_length_c 14.900
_cell_angle_alpha 90.00
_cell_angle_beta 90.00
_cell_angle_gamma 90.00
_symmetry_space_group_name_H-M 'P 1'
_symmetry_Int_Tables_number 1
loop_
_symmetry_equiv_pos_as_xyz
'x,y,z'
loop_
_atom_site_label
_atom_site_type_symbol
_atom_site_fract_x
_atom_site_fract_y
_atom_site_fract_z
Nd1 Nd 0.000 0.000 0.168
Nd2 Nd 0.000 0.000 0.832
Er1 Er 0.000 0.500 0.000
Er2 Er 0.000 0.500 0.340
Er3 Er 0.000 0.500 0.660
Er4 Er 0.500 0.000 0.000
Er5 Er 0.500 0.000 0.340
Er6 Er 0.500 0.000 0.660
Er7 Er 0.500 0.500 0.170
Er8 Er 0.500 0.500 0.500
Er9 Er 0.500 0.500 0.830
Sc1 Sc 0.000 0.000 0.500
```

---

(7)
This entry pairs a crystal structure of TbSm2Ag2 with its computed XRD peak list. Radiation: Cu Ka. Structure: a cell relaxed with PBE.
Intensities are scaled so that the largest is 100.

Peak list (10 most intense, 2θ = 5–70°, by angle)
- 3.452 Å, intensity 4
- 2.724 Å, intensity 17
- 2.654 Å, intensity 100
- 1.902 Å, intensity 12
- 1.850 Å, intensity 7
- 1.559 Å, intensity 9
- 1.534 Å, intensity 14
- 1.530 Å, intensity 6
- 1.518 Å, intensity 7
- 1.417 Å, intensity 3

```
data_TbSm2Ag2
_chemical_formula_sum 'Tb2 Sm4 Ag4'
_cell_length_a 3.700
_cell_length_b 5.316
_cell_length_c 13.745
_cell_angle_alpha 90.00
_cell_angle_beta 97.71
_cell_angle_gamma 90.00
_symmetry_space_group_name_H-M 'P 1'
_symmetry_Int_Tables_number 1
loop_
_symmetry_equiv_pos_as_xyz
'x,y,z'
loop_
_atom_site_label
_atom_site_type_symbol
_atom_site_fract_x
_atom_site_fract_y
_atom_site_fract_z
Tb1 Tb 0.145 0.250 0.290
Tb2 Tb 0.855 0.750 0.710
Sm1 Sm 0.048 0.750 0.095
Sm2 Sm 0.235 0.750 0.469
Sm3 Sm 0.765 0.250 0.531
Sm4 Sm 0.952 0.250 0.905
Ag1 Ag 0.358 0.250 0.716
Ag2 Ag 0.451 0.750 0.901
Ag3 Ag 0.549 0.250 0.099
Ag4 Ag 0.642 0.750 0.284
```

---

(8)
This entry pairs a crystal structure of CaSm8Dy4 with its computed XRD peak list. Radiation: Cu Ka. Structure: a cell relaxed with PBE.
Intensities are scaled so that the largest is 100.

Peak list (10 most intense, 2θ = 5–70°, by angle)
- 14.872 Å, intensity 5
- 7.436 Å, intensity 1
- 5.703 Å, intensity 1
- 4.494 Å, intensity 1
- 2.954 Å, intensity 100
- 2.558 Å, intensity 51
- 1.809 Å, intensity 36
- 1.543 Å, intensity 28
- 1.541 Å, intensity 14
- 1.477 Å, intensity 12

```
data_CaSm8Dy4
_chemical_formula_sum 'Ca1 Sm8 Dy4'
_cell_length_a 6.265
_cell_length_b 6.265
_cell_length_c 14.913
_cell_angle_alpha 93.87
_cell_angle_beta 93.87
_cell_angle_gamma 48.21
_symmetry_space_group_name_H-M 'P 1'
_symmetry_Int_Tables_number 1
loop_
_symmetry_equiv_pos_as_xyz
'x,y,z'
loop_
_atom_site_label
_atom_site_type_symbol
_atom_site_fract_x
_atom_site_fract_y
_atom_site_fract_z
Ca1 Ca 0.000 0.000 0.000
Sm1 Sm 0.076 0.076 0.766
Sm2 Sm 0.233 0.233 0.309
Sm3 Sm 0.307 0.307 0.081
Sm4 Sm 0.461 0.461 0.614
Sm5 Sm 0.539 0.539 0.386
Sm6 Sm 0.693 0.693 0.919
Sm7 Sm 0.767 0.767 0.691
Sm8 Sm 0.924 0.924 0.234
Dy1 Dy 0.153 0.153 0.538
Dy2 Dy 0.379 0.379 0.841
Dy3 Dy 0.621 0.621 0.159
Dy4 Dy 0.847 0.847 0.462
```